Structure and computed powder diffraction line list of LiMnCrSn (DFT lattice parameters and positions (PBE); Cu Kα (λ = 1.5418 Å)).
Neutral-atom scattering factors, no anomalous dispersion.

Most intense lines, 2θ from 15° to 90°, sorted by position:
h k l	Position (°2θ)	Rel. int.
1 1 1	24.75	32
2 0 0	28.65	30
2 2 0	40.97	100
3 1 1	48.45	17
2 2 2	50.76	9
4 0 0	59.33	16
3 3 1	65.27	7
4 2 0	67.19	11
4 2 2	74.62	33
4 4 0	88.84	11

Crystal structure
```
data_LiMnCrSn
_space_group_name_H-M_alt 'F -4 3 m'
_space_group_IT_number 216
_space_group_name_Hall 'F -4 2 3'
_cell_length_a 6.2310
_cell_length_b 6.2310
_cell_length_c 6.2310
_cell_angle_alpha 90.00
_cell_angle_beta 90.00
_cell_angle_gamma 90.00
loop_
_atom_site_label
_atom_site_fract_x
_atom_site_fract_y
_atom_site_fract_z
_atom_site_occupancy
Li1 0.0000 0.0000 0.0000 1
Mn1 0.0000 0.0000 0.5000 1
Cr1 0.2500 0.2500 0.7500 1
Sn1 0.2500 0.2500 0.2500 1
```